Diffraction record for RbPO4. The X-ray powder pattern is simulated, not measured: it uses a structure optimized by DFT (GGA-PBE) and Cu Kα, 1.54184 Å.
Peak positions follow from Bragg's law for the DFT cell and can differ from measured ones.

Most intense lines, 5° ≤ 2θ ≤ 70°, in order of falling intensity:
| h k l | d [Å] | Position (°2θ) | I_rel |
| --- | --- | --- | --- |
| 1 1 -2 | 3.788 | 23.49 | 100 |
| 2 2 0 | 2.382 | 37.76 | 49 |
| 2 0 0 | 3.734 | 23.83 | 46 |
| 1 1 2 | 3.066 | 29.12 | 45 |
| 0 2 0 | 3.097 | 28.83 | 25 |
| 2 2 -2 | 2.335 | 38.55 | 14 |

Structural model:
```
data_RbPO4
_chemical_formula_sum 'Rb4 P4 O16'
_space_group_name_H-M_alt 'P 1 21 1'
_space_group_IT_number 4
_cell_length_a 7.9003
_cell_length_b 6.1943
_cell_length_c 10.0831
_cell_angle_alpha 90.00
_cell_angle_beta 109.04
_cell_angle_gamma 90.00
loop_
_space_group_symop_operation_xyz
'x,y,z'
'-x,y+1/2,-z'
loop_
_atom_site_label
_atom_site_type_symbol
_atom_site_fract_x
_atom_site_fract_y
_atom_site_fract_z
_atom_site_occupancy
Rb1 Rb 0.2429 0.0000 0.4752 1
Rb2 Rb 0.2435 0.9823 0.9757 1
P1 P 0.2581 0.4848 0.2380 1
P2 P 0.2612 0.4965 0.7395 1
O1 O 0.0962 0.5032 0.7915 1
O2 O 0.0982 0.4797 0.2961 1
O3 O 0.1700 0.4109 0.0843 1
O4 O 0.1824 0.5683 0.5846 1
O5 O 0.3274 0.7187 0.2463 1
O6 O 0.3296 0.2621 0.7519 1
O7 O 0.4037 0.3292 0.3257 1
O8 O 0.4049 0.6519 0.8300 1
```



Diffraction record for RbPO4. The X-ray powder pattern is simulated, not measured: it uses a structure optimized by DFT (GGA-PBE) and Cu Kα, 1.54184 Å.
Peak positions follow from Bragg's law for the DFT cell and can differ from measured ones.

Most intense lines, 5° ≤ 2θ ≤ 70°, in order of falling intensity:
| h k l | d [Å] | Position (°2θ) | I_rel |
| --- | --- | --- | --- |
| 1 3 1 | 3.140 | 28.43 | 100 |
| 3 1 2 | 2.823 | 31.70 | 50 |
| 2 0 -1 | 3.243 | 27.50 | 46 |
| 0 1 -2 | 3.170 | 28.15 | 44 |
| 1 -1 2 | 3.085 | 28.94 | 43 |
| 1 1 3 | 3.185 | 28.01 | 41 |

Structural model:
```
data_RbPO4
_chemical_formula_sum 'Rb6 P6 O24'
_space_group_name_H-M_alt 'P -1'
_space_group_IT_number 2
_cell_length_a 8.8070
_cell_length_b 9.5929
_cell_length_c 9.7012
_cell_angle_alpha 60.66
_cell_angle_beta 66.97
_cell_angle_gamma 69.39
loop_
_space_group_symop_operation_xyz
'x,y,z'
'-x,-y,-z'
loop_
_atom_site_label
_atom_site_type_symbol
_atom_site_fract_x
_atom_site_fract_y
_atom_site_fract_z
_atom_site_occupancy
Rb1 Rb 0.0876 0.1461 0.0075 1
Rb2 Rb 0.2537 0.1971 0.5233 1
Rb3 Rb 0.3653 0.5753 0.6899 1
P1 P 0.2504 0.7235 0.2525 1
P2 P 0.4201 0.7979 0.8963 1
P3 P 0.4574 0.8966 0.2693 1
O1 O 0.0259 0.9440 0.5590 1
O2 O 0.0423 0.4686 0.2494 1
O3 O 0.0753 0.7821 0.2321 1
O4 O 0.1377 0.4245 0.1382 1
O5 O 0.2557 0.8910 0.8530 1
O6 O 0.2914 0.5785 0.4021 1
O7 O 0.2972 0.8852 0.2323 1
O8 O 0.3876 0.6901 0.0944 1
O9 O 0.3904 0.2309 0.7603 1
O10 O 0.3997 0.9048 0.4335 1
O11 O 0.4603 0.3114 0.1865 1
O12 O 0.4794 0.0760 0.1222 1
```